Diffraction record for GeTeH2S4. The powder X-ray diffraction pattern is simulated, not measured: it uses a cell relaxed with GGA-PBE and Cu Kα (λ = 1.5418 Å).
No peak broadening, texture or thermal motion is included.

The 8 most intense peaks (10° ≤ 2θ ≤ 90°), sorted by position:
| d_spacing | 2θ/deg | Rel. int. |
| --- | --- | --- |
| 5.943 | 14.91 | 30.0 |
| 5.893 | 15.03 | 100.0 |
| 2.946 | 30.34 | 83.2 |
| 2.931 | 30.50 | 68.0 |
| 2.669 | 33.57 | 37.1 |
| 2.657 | 33.74 | 19.2 |
| 2.234 | 40.38 | 34.0 |
| 2.078 | 43.56 | 43.7 |

Atomic structure:
```
data_GeTeH2S4
_chemical_formula_sum 'Ge2 Te2 H4 S8'
_space_group_name_H-M_alt 'P 1'
_space_group_IT_number 1
_space_group_name_Hall 'P 1'
_cell_length_a 7.2212
_cell_length_b 7.2212
_cell_length_c 7.2071
_cell_angle_alpha 109.66
_cell_angle_beta 109.66
_cell_angle_gamma 108.54
loop_
_atom_site_label
_atom_site_type_symbol
_atom_site_fract_x
_atom_site_fract_y
_atom_site_fract_z
Ge1 Ge 0.0000 0.0000 0.0000
Ge2 Ge 0.0000 0.0000 0.5000
Te1 Te 0.0000 0.5000 0.0000
Te2 Te 0.5000 0.0000 0.5000
H1 H 0.0000 0.5000 0.5000
H2 H 0.5000 0.0000 0.0000
H3 H 0.5000 0.5000 0.0000
H4 H 0.5000 0.5000 0.5000
S1 S 0.1498 0.6831 0.4570
S2 S 0.2646 0.3079 0.9606
S3 S 0.3079 0.2646 0.4606
S4 S 0.3169 0.8502 0.0430
S5 S 0.6831 0.1498 0.9570
S6 S 0.6921 0.7354 0.5394
S7 S 0.7354 0.6921 0.0394
S8 S 0.8502 0.3169 0.5430
```